The following is a theoretical X-ray powder pattern of BaBe2Ga2O6. It was derived from a structure optimized by DFT (PBE), using copper Kα.

Principal peaks in the range 2θ from 10° to 80°, in order of rising 2θ:
Position (°2θ), d (Å), Rel. int., (hkl)
20.87, 4.256, 100.0, 1 0 1
24.21, 3.677, 83.7, 0 1 1
27.03, 3.299, 47.9, 1 1 -1
27.53, 3.239, 42.7, 1 0 -1
30.30, 2.949, 58.4, 1 1 2
32.63, 2.744, 34.0, 0 1 -2
33.95, 2.641, 28.4, 1 -1 0
34.19, 2.623, 41.7, 1 2 0
34.63, 2.590, 26.1, 2 1 1
40.40, 2.233, 41.2, 0 2 -1

```
11
Lattice="5.2062 0.0000 0.0000 2.4794 4.6591 0.0000 1.9910 -0.3991 6.4997" Properties=species:S:1:pos:R:3 pbc="T T T"
Ba 0.0000 0.0000 0.0000
Be 2.6118 1.3094 1.8794
Be 7.0647 2.9505 4.6202
Ga 4.3295 1.2574 4.2048
Ga 5.3471 3.0026 2.2949
O 2.7317 1.7405 4.9468
O 4.6511 4.5228 1.6252
O 4.1503 1.4963 2.2763
O 5.5262 2.7637 4.2234
O 5.0254 -0.2629 4.8744
O 6.9449 2.5195 1.5528
```